# Nd4CSe
Calculated PXRD pattern, Cu Kα, 1.54184 Å. Input: a structure optimized by DFT (GGA-PBE).

Top 10 peaks for 15° ≤ 2θ ≤ 90°, by angle:
3.350 Å, 2θ = 26.6°, intensity 34
3.196 Å, 2θ = 27.9°, intensity 40
3.184 Å, 2θ = 28.0°, intensity 82
2.804 Å, 2θ = 31.9°, intensity 54
2.790 Å, 2θ = 32.1°, intensity 100
2.013 Å, 2θ = 45.0°, intensity 41
1.944 Å, 2θ = 46.7°, intensity 37
1.935 Å, 2θ = 47.0°, intensity 18
1.682 Å, 2θ = 54.6°, intensity 18
1.592 Å, 2θ = 57.9°, intensity 17

Atomic structure:
```
Nd4CSe
1.0
4.032 -7.738 0.000
4.032 7.738 0.000
-3.753 0.000 5.607
Nd C Se
8 2 2
direct
0.017 0.385 0.229
0.158 0.273 0.714
0.273 0.158 0.214
0.385 0.017 0.729
0.615 0.983 0.271
0.727 0.842 0.786
0.842 0.727 0.286
0.983 0.615 0.771
0.063 0.937 0.750
0.937 0.063 0.250
0.427 0.573 0.250
0.573 0.427 0.750
```